No. 1
Diffraction record for ThBiPt10. The X-ray diffraction stick pattern is computed, not measured: it uses a GGA-PBE-relaxed structure and Cu Kα (weighted mean of Kα1 and Kα2).
Kinematic intensities with the Lorentz-polarization factor, no thermal factor.

Structure:
```
data_ThBiPt10
_chemical_formula_sum 'Th1 Bi1 Pt10'
_cell_length_a 4.4773
_cell_length_b 5.4096
_cell_length_c 9.3039
_cell_angle_alpha 90.00
_cell_angle_beta 90.00
_cell_angle_gamma 90.00
_symmetry_space_group_name_H-M 'P m m m'
_symmetry_Int_Tables_number 47
loop_
_symmetry_equiv_pos_as_xyz
'x,y,z'
'-x,-y,-z'
'-x,-y,z'
'x,y,-z'
'x,-y,-z'
'-x,y,z'
'-x,y,-z'
'x,-y,z'
loop_
_atom_site_label
_atom_site_type_symbol
_atom_site_fract_x
_atom_site_fract_y
_atom_site_fract_z
_atom_site_occupancy
Th1 Th 0.0000 0.0000 0.0000 1
Bi1 Bi 0.0000 0.5000 0.5000 1
Pt1 Pt 0.0000 0.0000 0.3344 1
Pt2 Pt 0.0000 0.5000 0.1706 1
Pt3 Pt 0.5000 0.0000 0.5000 1
Pt4 Pt 0.5000 0.2450 0.2441 1
Pt5 Pt 0.5000 0.5000 0.0000 1
```

Largest 10 diffraction maxima, low angle first, 5 to 70 degrees two-theta:
two_theta, intensity
27.60, 27
33.30, 20
38.50, 29
38.90, 50
39.06, 100
40.29, 51
43.67, 36
56.95, 19
63.16, 25
69.93, 20


No. 2
Diffraction record for Tl2BiPt2. The X-ray diffraction stick pattern is computed, not measured: it uses a GGA-PBE-relaxed structure and Cu Kα (weighted mean of Kα1 and Kα2).
Kinematic intensities with the Lorentz-polarization factor, no thermal factor.

Structure:
```
data_Tl2BiPt2
_chemical_formula_sum 'Tl4 Bi2 Pt4'
_cell_length_a 6.5244
_cell_length_b 3.9930
_cell_length_c 9.5553
_cell_angle_alpha 90.00
_cell_angle_beta 93.24
_cell_angle_gamma 90.00
_symmetry_space_group_name_H-M 'P 1 21/m 1'
_symmetry_Int_Tables_number 11
loop_
_symmetry_equiv_pos_as_xyz
'x,y,z'
'-x,-y,-z'
'-x,y+1/2,-z'
'x,-y+1/2,z'
loop_
_atom_site_label
_atom_site_type_symbol
_atom_site_fract_x
_atom_site_fract_y
_atom_site_fract_z
_atom_site_occupancy
Tl1 Tl 0.0932 0.2500 0.3812 1
Tl2 Tl 0.2013 0.2500 0.0429 1
Bi1 Bi 0.4778 0.2500 0.7285 1
Pt1 Pt 0.2194 0.7500 0.8264 1
Pt2 Pt 0.3330 0.7500 0.5270 1
```

Largest 10 diffraction maxima, low angle first, 5 to 70 degrees two-theta:
two_theta, intensity
28.09, 100
32.40, 41
36.11, 60
37.25, 58
38.15, 61
39.34, 34
39.66, 51
41.03, 45
45.43, 49
62.87, 35


No. 3
Diffraction record for Tm5BiPt2. The X-ray diffraction stick pattern is computed, not measured: it uses a GGA-PBE-relaxed structure and Cu Kα (weighted mean of Kα1 and Kα2).
Kinematic intensities with the Lorentz-polarization factor, no thermal factor.

Structure:
```
data_Tm5BiPt2
_chemical_formula_sum 'Tm20 Bi4 Pt8'
_cell_length_a 7.7069
_cell_length_b 7.7069
_cell_length_c 13.6680
_cell_angle_alpha 90.00
_cell_angle_beta 90.00
_cell_angle_gamma 90.00
_symmetry_space_group_name_H-M 'I 4/m c m'
_symmetry_Int_Tables_number 140
_symmetry_space_group_name_Hall '-I 4 2c'
loop_
_atom_site_label
_atom_site_type_symbol
_atom_site_fract_x
_atom_site_fract_y
_atom_site_fract_z
_atom_site_occupancy
Tm1 Tm 0.0000 0.0000 0.0000 1
Tm2 Tm 0.1556 0.3444 0.1362 1
Bi1 Bi 0.0000 0.0000 0.2500 1
Pt1 Pt 0.1399 0.3601 0.5000 1
```

Largest 10 diffraction maxima, low angle first, 5 to 70 degrees two-theta:
two_theta, intensity
12.95, 13
30.89, 19
32.58, 100
32.87, 11
35.10, 23
36.88, 63
42.19, 24
53.64, 10
66.88, 20
68.75, 17


No. 4
Diffraction record for Y4BiPt. The X-ray diffraction stick pattern is computed, not measured: it uses a GGA-PBE-relaxed structure and Cu Kα (weighted mean of Kα1 and Kα2).
Kinematic intensities with the Lorentz-polarization factor, no thermal factor.

Structure:
```
data_Y4BiPt
_chemical_formula_sum 'Y8 Bi2 Pt2'
_cell_length_a 6.2178
_cell_length_b 6.6517
_cell_length_c 8.8395
_cell_angle_alpha 90.00
_cell_angle_beta 110.21
_cell_angle_gamma 90.00
_symmetry_space_group_name_H-M 'P 1 21/m 1'
_symmetry_Int_Tables_number 11
loop_
_symmetry_equiv_pos_as_xyz
'x,y,z'
'-x,-y,-z'
'-x,y+1/2,-z'
'x,-y+1/2,z'
loop_
_atom_site_label
_atom_site_type_symbol
_atom_site_fract_x
_atom_site_fract_y
_atom_site_fract_z
_atom_site_occupancy
Y1 Y 0.0038 0.0009 0.2041 1
Y2 Y 0.3987 0.2500 0.6125 1
Y3 Y 0.4333 0.2500 0.1001 1
Bi1 Bi 0.1996 0.7500 0.5444 1
Pt1 Pt 0.2666 0.7500 0.0707 1
```

Largest 10 diffraction maxima, low angle first, 5 to 70 degrees two-theta:
two_theta, intensity
20.25, 64
26.81, 30
30.45, 33
30.78, 34
30.95, 28
33.36, 41
33.67, 39
34.62, 100
40.84, 26
41.16, 26


No. 5
Diffraction record for Zr6BiPt. The X-ray diffraction stick pattern is computed, not measured: it uses a GGA-PBE-relaxed structure and Cu Kα (weighted mean of Kα1 and Kα2).
Kinematic intensities with the Lorentz-polarization factor, no thermal factor.

Structure:
```
data_Zr6BiPt
_chemical_formula_sum 'Zr6 Bi1 Pt1'
_cell_length_a 5.5745
_cell_length_b 5.5745
_cell_length_c 5.5745
_cell_angle_alpha 90.00
_cell_angle_beta 90.00
_cell_angle_gamma 90.00
_symmetry_space_group_name_H-M 'P m -3'
_symmetry_Int_Tables_number 200
_symmetry_space_group_name_Hall '-P 2 2 3'
loop_
_atom_site_label
_atom_site_type_symbol
_atom_site_fract_x
_atom_site_fract_y
_atom_site_fract_z
_atom_site_occupancy
Zr1 Zr 0.0000 0.2594 0.5000 1
Bi1 Bi 0.0000 0.0000 0.0000 1
Pt1 Pt 0.5000 0.5000 0.5000 1
```

Largest 10 diffraction maxima, low angle first, 5 to 70 degrees two-theta:
two_theta, intensity
22.56, 26
32.11, 44
36.03, 52
39.60, 100
46.05, 5
51.87, 7
57.25, 1
59.82, 12
62.32, 53
67.17, 14


No. 6
Diffraction record for Pu2BiS6. The X-ray diffraction stick pattern is computed, not measured: it uses a GGA-PBE-relaxed structure and Cu Kα (weighted mean of Kα1 and Kα2).
Kinematic intensities with the Lorentz-polarization factor, no thermal factor.

Structure:
```
data_Pu2BiS6
_chemical_formula_sum 'Pu4 Bi2 S12'
_cell_length_a 6.3120
_cell_length_b 6.3120
_cell_length_c 12.2365
_cell_angle_alpha 90.00
_cell_angle_beta 90.00
_cell_angle_gamma 90.00
_symmetry_space_group_name_H-M 'P 42/m n m'
_symmetry_Int_Tables_number 136
_symmetry_space_group_name_Hall '-P 4n 2n'
loop_
_atom_site_label
_atom_site_type_symbol
_atom_site_fract_x
_atom_site_fract_y
_atom_site_fract_z
_atom_site_occupancy
Pu1 Pu 0.0000 0.0000 0.1678 1
Bi1 Bi 0.0000 0.0000 0.5000 1
S1 S 0.1851 0.1851 0.0000 1
S2 S 0.2010 0.2010 0.3244 1
```

Largest 10 diffraction maxima, low angle first, 5 to 70 degrees two-theta:
two_theta, intensity
19.89, 100
26.01, 79
28.28, 23
38.80, 81
40.42, 22
45.44, 19
48.70, 28
49.11, 19
57.27, 16
65.08, 16


No. 7
Diffraction record for Pu4Bi3Sb. The X-ray diffraction stick pattern is computed, not measured: it uses a GGA-PBE-relaxed structure and Cu Kα (weighted mean of Kα1 and Kα2).
Kinematic intensities with the Lorentz-polarization factor, no thermal factor.

Structure:
```
data_Pu4Bi3Sb
_chemical_formula_sum 'Pu4 Bi3 Sb1'
_cell_length_a 3.6077
_cell_length_b 3.6077
_cell_length_c 17.3330
_cell_angle_alpha 90.00
_cell_angle_beta 90.00
_cell_angle_gamma 90.00
_symmetry_space_group_name_H-M 'P 4/m m m'
_symmetry_Int_Tables_number 123
_symmetry_space_group_name_Hall '-P 4 2'
loop_
_atom_site_label
_atom_site_type_symbol
_atom_site_fract_x
_atom_site_fract_y
_atom_site_fract_z
_atom_site_occupancy
Pu1 Pu 0.0000 0.0000 0.1151 1
Pu2 Pu 0.0000 0.0000 0.3726 1
Bi1 Bi 0.5000 0.5000 0.2450 1
Bi2 Bi 0.5000 0.5000 0.5000 1
Sb1 Sb 0.5000 0.5000 0.0000 1
```

Largest 10 diffraction maxima, low angle first, 5 to 70 degrees two-theta:
two_theta, intensity
29.18, 2
32.29, 100
35.18, 41
41.69, 12
50.60, 15
51.43, 1
55.66, 21
61.31, 33
64.54, 2
67.57, 12


No. 8
Diffraction record for PuScTlBi. The X-ray diffraction stick pattern is computed, not measured: it uses a GGA-PBE-relaxed structure and Cu Kα (weighted mean of Kα1 and Kα2).
Kinematic intensities with the Lorentz-polarization factor, no thermal factor.

Structure:
```
data_PuScTlBi
_chemical_formula_sum 'Pu4 Sc4 Tl4 Bi4'
_cell_length_a 7.5269
_cell_length_b 7.5269
_cell_length_c 7.5269
_cell_angle_alpha 90.00
_cell_angle_beta 90.00
_cell_angle_gamma 90.00
_symmetry_space_group_name_H-M 'F -4 3 m'
_symmetry_Int_Tables_number 216
_symmetry_space_group_name_Hall 'F -4 2 3'
loop_
_atom_site_label
_atom_site_type_symbol
_atom_site_fract_x
_atom_site_fract_y
_atom_site_fract_z
_atom_site_occupancy
Pu1 Pu 0.0000 0.0000 0.0000 1
Sc1 Sc 0.0000 0.0000 0.5000 1
Tl1 Tl 0.2500 0.2500 0.2500 1
Bi1 Bi 0.2500 0.2500 0.7500 1
```

Largest 10 diffraction maxima, low angle first, 5 to 70 degrees two-theta:
two_theta, intensity
20.44, 17
23.64, 4
33.68, 100
39.72, 10
41.56, 1
48.37, 18
53.03, 5
54.52, 2
60.23, 39
64.31, 3


No. 9
Diffraction record for Pu6BiSe5. The X-ray diffraction stick pattern is computed, not measured: it uses a GGA-PBE-relaxed structure and Cu Kα (weighted mean of Kα1 and Kα2).
Kinematic intensities with the Lorentz-polarization factor, no thermal factor.

Structure:
```
data_Pu6BiSe5
_chemical_formula_sum 'Pu12 Bi2 Se10'
_cell_length_a 7.3130
_cell_length_b 12.6771
_cell_length_c 7.3209
_cell_angle_alpha 90.00
_cell_angle_beta 109.57
_cell_angle_gamma 90.00
_symmetry_space_group_name_H-M 'C 1 2/m 1'
_symmetry_Int_Tables_number 12
loop_
_symmetry_equiv_pos_as_xyz
'x,y,z'
'-x,-y,-z'
'-x,y,-z'
'x,-y,z'
'x+1/2,y+1/2,z'
'-x+1/2,-y+1/2,-z'
'-x+1/2,y+1/2,-z'
'x+1/2,-y+1/2,z'
loop_
_atom_site_label
_atom_site_type_symbol
_atom_site_fract_x
_atom_site_fract_y
_atom_site_fract_z
_atom_site_occupancy
Pu1 Pu 0.2358 0.0000 0.2559 1
Pu2 Pu 0.2384 0.1749 0.7402 1
Bi1 Bi 0.0000 0.5000 0.0000 1
Se1 Se 0.0000 0.0000 0.5000 1
Se2 Se 0.0000 0.1674 0.0000 1
Se3 Se 0.0000 0.3404 0.5000 1
```

Largest 10 diffraction maxima, low angle first, 5 to 70 degrees two-theta:
two_theta, intensity
25.83, 29
29.50, 2
29.92, 100
42.82, 75
50.66, 8
50.71, 6
53.11, 26
62.16, 12
68.43, 4
68.52, 2


No. 10
Diffraction record for Pu6Sn2Bi. The X-ray diffraction stick pattern is computed, not measured: it uses a GGA-PBE-relaxed structure and Cu Kα (weighted mean of Kα1 and Kα2).
Kinematic intensities with the Lorentz-polarization factor, no thermal factor.

Structure:
```
data_Pu6Sn2Bi
_chemical_formula_sum 'Pu6 Sn2 Bi1'
_cell_length_a 8.9918
_cell_length_b 8.9918
_cell_length_c 3.3776
_cell_angle_alpha 90.00
_cell_angle_beta 90.00
_cell_angle_gamma 120.00
_symmetry_space_group_name_H-M 'P 6/m m m'
_symmetry_Int_Tables_number 191
_symmetry_space_group_name_Hall '-P 6 2'
loop_
_atom_site_label
_atom_site_type_symbol
_atom_site_fract_x
_atom_site_fract_y
_atom_site_fract_z
_atom_site_occupancy
Pu1 Pu 0.0000 0.3354 0.0000 1
Sn1 Sn 0.3333 0.6667 0.5000 1
Bi1 Bi 0.0000 0.0000 0.5000 1
```

Largest 10 diffraction maxima, low angle first, 5 to 70 degrees two-theta:
two_theta, intensity
26.39, 17
33.17, 86
34.55, 100
44.00, 27
48.66, 30
54.32, 10
61.04, 31
61.92, 19
65.99, 32
68.50, 8


No. 11
Diffraction record for Sr3PuBi3. The X-ray diffraction stick pattern is computed, not measured: it uses a GGA-PBE-relaxed structure and Cu Kα (weighted mean of Kα1 and Kα2).
Kinematic intensities with the Lorentz-polarization factor, no thermal factor.

Structure:
```
data_Sr3PuBi3
_chemical_formula_sum 'Sr12 Pu4 Bi12'
_cell_length_a 9.5298
_cell_length_b 14.4833
_cell_length_c 8.6379
_cell_angle_alpha 90.00
_cell_angle_beta 95.22
_cell_angle_gamma 90.00
_symmetry_space_group_name_H-M 'C 1 2/m 1'
_symmetry_Int_Tables_number 12
loop_
_symmetry_equiv_pos_as_xyz
'x,y,z'
'-x,-y,-z'
'-x,y,-z'
'x,-y,z'
'x+1/2,y+1/2,z'
'-x+1/2,-y+1/2,-z'
'-x+1/2,y+1/2,-z'
'x+1/2,-y+1/2,z'
loop_
_atom_site_label
_atom_site_type_symbol
_atom_site_fract_x
_atom_site_fract_y
_atom_site_fract_z
_atom_site_occupancy
Sr1 Sr 0.0000 0.1609 0.0000 1
Sr2 Sr 0.0000 0.2215 0.5000 1
Sr3 Sr 0.1072 0.5000 0.8469 1
Pu1 Pu 0.2171 0.0000 0.6281 1
Bi1 Bi 0.0880 0.0000 0.2848 1
Bi2 Bi 0.1683 0.3278 0.2053 1
```

Largest 10 diffraction maxima, low angle first, 5 to 70 degrees two-theta:
two_theta, intensity
14.60, 56
20.54, 35
20.65, 41
23.50, 45
26.70, 32
29.84, 51
29.97, 100
33.88, 42
37.25, 42
42.95, 48


No. 12
Diffraction record for Pu4BiTe3. The X-ray diffraction stick pattern is computed, not measured: it uses a GGA-PBE-relaxed structure and Cu Kα (weighted mean of Kα1 and Kα2).
Kinematic intensities with the Lorentz-polarization factor, no thermal factor.

Structure:
```
data_Pu4BiTe3
_chemical_formula_sum 'Pu8 Bi2 Te6'
_cell_length_a 7.7117
_cell_length_b 8.9784
_cell_length_c 7.7120
_cell_angle_alpha 90.00
_cell_angle_beta 109.71
_cell_angle_gamma 90.00
_symmetry_space_group_name_H-M 'P 1 2/c 1'
_symmetry_Int_Tables_number 13
loop_
_symmetry_equiv_pos_as_xyz
'x,y,z'
'-x,-y,-z'
'-x,y,-z+1/2'
'x,-y,z+1/2'
loop_
_atom_site_label
_atom_site_type_symbol
_atom_site_fract_x
_atom_site_fract_y
_atom_site_fract_z
_atom_site_occupancy
Pu1 Pu 0.2454 0.1251 0.9998 1
Pu2 Pu 0.2494 0.3783 0.4991 1
Bi1 Bi 0.5000 0.1256 0.7500 1
Te1 Te 0.0000 0.1256 0.2500 1
Te2 Te 0.0000 0.3766 0.7500 1
Te3 Te 0.5000 0.3754 0.2500 1
```

Largest 10 diffraction maxima, low angle first, 5 to 70 degrees two-theta:
two_theta, intensity
28.28, 100
40.18, 13
40.44, 52
40.65, 13
49.87, 14
50.27, 14
58.50, 13
65.87, 6
66.24, 25
66.54, 6